1.
Structure and theoretical XRD peak list of TbY2Cu4 (a cell relaxed with PBE; copper Kα).
Lines closer than 0.1° are merged.

Atomic structure:
Cell lengths 5.262, 5.262, 10.681 Å; angles 90.00, 90.00, 90.00 degrees
Space group I4/mmm (No. 139)
Asymmetric unit:
Tb1 0.000 0.000 0.000 [2 per cell]
Y1 0.000 0.000 0.300 [4 per cell]
Cu1 0.000 0.500 0.122 [8 per cell]

Main lines, in order of rising 2θ (2θ from 15° to 90°):
two_theta, intensity, index
30.31, 66, 1 0 3
34.08, 100, 2 0 0
41.63, 72, 1 1 4
46.25, 41, 2 1 3
48.96, 35, 2 2 0
66.17, 34, 3 1 4

2.
Structure and theoretical XRD peak list of CaZrSi2O7 (a cell relaxed with PBE; copper Kα).
Lines closer than 0.1° are merged.

Atomic structure:
Cell lengths 6.912, 8.799, 4.745 Å; angles 90.00, 101.71, 90.00 degrees
Space group C2 (No. 5)
Asymmetric unit:
Ca1 0.000 0.000 0.000 [2 per cell]
Zr1 0.000 0.611 0.000 [2 per cell]
Si1 0.212 0.288 0.416 [4 per cell]
O1 0.000 0.237 0.500 [2 per cell]
O2 0.124 0.795 0.283 [4 per cell]
O3 0.190 0.449 0.236 [4 per cell]
O4 0.238 0.650 0.791 [4 per cell]

Main lines, in order of rising 2θ (2θ from 15° to 90°):
two_theta, intensity, index
16.53, 45, 1 1 0
27.34, 55, 1 1 1
27.93, 100, 0 2 1
29.33, 67, 2 0 -1
33.41, 32, 2 2 0
54.21, 30, 1 3 2